Calculated PXRD pattern
Compound: In5Sn7
Radiation: CuKα
Structure: DFT lattice parameters and positions (PBE)

Top 12 peaks for 2θ = 5–70°, low angle first:
| d_spacing | intensity |
| --- | --- |
| 2.791 | 100 |
| 2.751 | 96 |
| 2.414 | 33 |
| 2.392 | 65 |
| 1.710 | 12 |
| 1.699 | 46 |
| 1.674 | 11 |
| 1.456 | 14 |
| 1.452 | 41 |
| 1.436 | 27 |
| 1.395 | 12 |
| 1.376 | 12 |

Structural model:
```
In5Sn7
1.0
3.348 0.000 0.000
0.000 10.259 0.000
0.000 0.000 9.656
In Sn
5 7
Cartesian
0.000 0.000 0.000
0.000 3.434 4.863
0.000 6.825 4.863
1.674 1.727 2.455
1.674 8.532 2.455
0.000 0.000 4.898
0.000 3.441 0.014
0.000 6.818 0.014
1.674 1.705 7.250
1.674 5.129 2.407
1.674 5.129 7.305
1.674 8.554 7.250
```

Calculated PXRD pattern
Compound: In5Sn
Radiation: CuKα
Structure: DFT lattice parameters and positions (PBE)

Top 12 peaks for 2θ = 5–70°, low angle first:
| d_spacing | intensity |
| --- | --- |
| 2.815 | 29 |
| 2.707 | 27 |
| 2.643 | 100 |
| 2.159 | 1 |
| 1.951 | 20 |
| 1.796 | 8 |
| 1.590 | 20 |
| 1.550 | 19 |
| 1.514 | 9 |
| 1.497 | 8 |
| 1.407 | 3 |
| 1.354 | 3 |

Structural model:
```
In5Sn
1.0
5.388 -2.707 0.000
5.388 2.707 0.000
-3.596 0.000 5.630
In Sn
5 1
Cartesian
0.000 0.000 0.000
-1.791 0.000 2.829
1.829 0.000 2.725
5.435 0.000 2.642
3.644 0.000 5.473
0.030 0.000 5.539
```

Calculated PXRD pattern
Compound: In7Sn3
Radiation: CuKα
Structure: DFT lattice parameters and positions (PBE)

Top 12 peaks for 2θ = 5–70°, low angle first:
| d_spacing | intensity |
| --- | --- |
| 2.766 | 100 |
| 2.751 | 98 |
| 2.526 | 39 |
| 2.400 | 34 |
| 2.263 | 28 |
| 1.740 | 25 |
| 1.685 | 22 |
| 1.501 | 15 |
| 1.498 | 15 |
| 1.449 | 13 |
| 1.442 | 13 |
| 1.387 | 12 |

Structural model:
```
In7Sn3
1.0
8.346 -2.526 0.000
8.346 2.526 0.000
-0.909 0.000 6.506
In Sn
7 3
Cartesian
0.000 0.000 0.000
2.788 0.000 3.887
6.042 0.000 4.581
6.501 0.000 1.327
9.281 0.000 5.180
9.740 0.000 1.926
12.994 0.000 2.619
-0.455 0.000 3.253
3.289 0.000 0.642
12.493 0.000 5.864
```

Calculated PXRD pattern
Compound: Sr2In15Sn2
Radiation: CuKα
Structure: DFT lattice parameters and positions (PBE)

Top 12 peaks for 2θ = 5–70°, low angle first:
| d_spacing | intensity |
| --- | --- |
| 5.419 | 13 |
| 3.126 | 19 |
| 3.080 | 22 |
| 2.723 | 22 |
| 2.709 | 100 |
| 2.680 | 30 |
| 2.432 | 17 |
| 2.424 | 59 |
| 1.713 | 9 |
| 1.570 | 14 |
| 1.563 | 16 |
| 1.558 | 10 |

Structural model:
```
Sr2In15Sn2
1.0
5.414 3.126 5.445
-5.414 3.126 5.445
0.000 -6.251 5.445
Sr In Sn
2 15 2
Cartesian
0.000 0.000 2.576
0.000 0.000 13.760
-2.707 -1.563 5.445
0.000 -3.245 5.081
-2.811 1.623 5.081
-1.612 -2.792 8.168
-3.224 0.000 8.168
-2.811 -1.623 11.255
-2.707 1.563 10.891
1.612 -2.792 8.168
0.000 3.126 5.445
-1.612 2.792 8.168
2.811 1.623 5.081
3.224 0.000 8.168
1.612 2.792 8.168
2.811 -1.623 11.255
0.000 3.245 11.255
0.000 0.000 6.532
0.000 0.000 9.804
```

Calculated PXRD pattern
Compound: Sr8InSn2
Radiation: CuKα
Structure: DFT lattice parameters and positions (PBE)

Top 12 peaks for 2θ = 5–70°, low angle first:
| d_spacing | intensity |
| --- | --- |
| 3.466 | 21 |
| 3.280 | 100 |
| 3.220 | 48 |
| 3.201 | 19 |
| 3.032 | 91 |
| 2.865 | 82 |
| 2.843 | 62 |
| 2.710 | 21 |
| 2.595 | 18 |
| 2.425 | 19 |
| 2.149 | 22 |
| 1.587 | 21 |

Structural model:
```
Sr8InSn2
1.0
10.208 -2.865 0.000
10.208 2.865 0.000
-2.440 0.000 7.691
Sr In Sn
8 1 2
Cartesian
-0.085 0.000 2.192
2.169 0.000 6.144
5.531 0.000 4.214
8.097 0.000 0.418
9.879 0.000 7.273
12.444 0.000 3.477
15.807 0.000 1.547
18.061 0.000 5.499
8.988 0.000 3.846
3.360 0.000 1.585
14.616 0.000 6.106
```

Calculated PXRD pattern
Compound: SrInSn
Radiation: CuKα
Structure: DFT lattice parameters and positions (PBE)

Top 12 peaks for 2θ = 5–70°, low angle first:
| d_spacing | intensity |
| --- | --- |
| 3.211 | 51 |
| 3.124 | 38 |
| 3.085 | 66 |
| 2.929 | 63 |
| 2.885 | 63 |
| 2.800 | 83 |
| 2.689 | 28 |
| 2.468 | 25 |
| 2.442 | 100 |
| 2.383 | 24 |
| 2.282 | 30 |
| 1.789 | 21 |

Structural model:
```
SrInSn
1.0
8.154 0.000 0.000
0.000 4.886 0.000
-1.134 0.000 14.297
Sr In Sn
6 6 6
Cartesian
-0.007 1.221 2.878
2.090 3.664 8.385
2.857 3.664 12.527
4.163 1.221 1.770
4.930 1.221 5.912
7.027 3.664 11.419
-0.452 3.664 5.880
0.161 1.221 13.610
2.655 3.664 4.198
4.365 1.221 10.099
6.859 3.664 0.688
7.472 1.221 8.417
1.827 3.664 1.048
1.486 1.221 5.880
1.265 1.221 10.720
5.756 3.664 3.577
5.534 3.664 8.417
5.193 1.221 13.250
```

Calculated PXRD pattern
Compound: SrIn2Sn4
Radiation: CuKα
Structure: DFT lattice parameters and positions (PBE)

Top 12 peaks for 2θ = 5–70°, low angle first:
| d_spacing | intensity |
| --- | --- |
| 3.396 | 90 |
| 3.220 | 100 |
| 2.967 | 39 |
| 2.454 | 35 |
| 2.360 | 35 |
| 2.255 | 31 |
| 2.211 | 60 |
| 2.121 | 33 |
| 2.076 | 21 |
| 1.537 | 12 |
| 1.486 | 16 |
| 1.462 | 12 |

Structural model:
```
SrIn2Sn4
1.0
4.947 -4.703 0.000
4.947 4.703 0.000
0.000 0.000 9.816
Sr In Sn
2 4 8
Cartesian
0.000 0.000 0.000
4.947 0.000 4.908
1.492 0.000 4.908
3.455 0.000 0.000
6.439 0.000 0.000
8.402 0.000 4.908
2.473 1.365 7.362
4.947 3.008 6.984
4.947 1.695 2.076
2.473 -1.365 2.454
7.420 1.365 7.362
4.947 -1.695 7.740
4.947 -3.008 2.832
7.420 -1.365 2.454
```

Calculated PXRD pattern
Compound: Sr2In3Sn3
Radiation: CuKα
Structure: DFT lattice parameters and positions (PBE)

Top 12 peaks for 2θ = 5–70°, low angle first:
| d_spacing | intensity |
| --- | --- |
| 3.464 | 1 |
| 2.807 | 100 |
| 2.505 | 18 |
| 2.403 | 16 |
| 2.389 | 16 |
| 1.734 | 12 |
| 1.729 | 12 |
| 1.694 | 11 |
| 1.498 | 15 |
| 1.453 | 13 |
| 1.447 | 13 |
| 1.403 | 12 |

Structural model:
```
Sr2In3Sn3
1.0
4.806 0.000 0.000
0.000 5.011 0.000
0.000 0.000 9.555
Sr In Sn
2 3 3
Cartesian
0.000 0.000 2.378
0.000 0.000 7.178
0.000 2.505 4.778
2.403 2.505 2.390
2.403 2.505 7.165
0.000 2.505 0.000
2.403 0.000 0.000
2.403 0.000 4.778
```

Calculated PXRD pattern
Compound: SrIn4Sn
Radiation: CuKα
Structure: DFT lattice parameters and positions (PBE)

Top 12 peaks for 2θ = 5–70°, low angle first:
| d_spacing | intensity |
| --- | --- |
| 7.021 | 7 |
| 3.510 | 9 |
| 2.787 | 95 |
| 2.647 | 100 |
| 2.477 | 4 |
| 2.114 | 13 |
| 2.084 | 4 |
| 1.919 | 32 |
| 1.755 | 11 |
| 1.554 | 32 |
| 1.528 | 18 |
| 1.463 | 25 |

Structural model:
```
SrIn4Sn
1.0
5.295 0.000 0.000
-2.647 4.585 0.000
0.000 0.000 7.021
Sr In Sn
1 4 1
Cartesian
0.000 0.000 0.000
0.000 3.057 1.916
0.000 3.057 5.104
2.647 1.528 1.916
2.647 1.528 5.104
0.000 0.000 3.510
```

Calculated PXRD pattern
Compound: SrIn6Sn2
Radiation: CuKα
Structure: DFT lattice parameters and positions (PBE)

Top 12 peaks for 2θ = 5–70°, low angle first:
| d_spacing | intensity |
| --- | --- |
| 10.019 | 5 |
| 3.340 | 7 |
| 2.719 | 82 |
| 2.705 | 100 |
| 2.209 | 4 |
| 2.102 | 12 |
| 1.918 | 29 |
| 1.670 | 6 |
| 1.564 | 30 |
| 1.562 | 18 |
| 1.421 | 20 |
| 1.352 | 11 |

Structural model:
```
SrIn6Sn2
1.0
5.410 0.000 0.000
-2.705 4.685 0.000
0.000 0.000 10.019
Sr In Sn
1 6 2
Cartesian
0.000 0.000 0.000
0.000 0.000 3.465
0.000 0.000 6.553
0.000 3.123 4.919
0.000 3.123 8.181
2.705 1.562 1.837
2.705 1.562 5.100
0.000 3.123 1.847
2.705 1.562 8.171
```

Calculated PXRD pattern
Compound: SrIn6Sn5
Radiation: CuKα
Structure: DFT lattice parameters and positions (PBE)

Top 12 peaks for 2θ = 5–70°, low angle first:
| d_spacing | intensity |
| --- | --- |
| 2.786 | 100 |
| 2.480 | 18 |
| 2.404 | 16 |
| 2.360 | 16 |
| 1.726 | 11 |
| 1.712 | 6 |
| 1.684 | 11 |
| 1.486 | 7 |
| 1.483 | 7 |
| 1.451 | 12 |
| 1.433 | 7 |
| 1.430 | 7 |

Structural model:
```
SrIn6Sn5
1.0
5.487 -7.212 0.000
5.487 7.212 0.000
-2.017 0.000 4.267
Sr In Sn
1 6 5
Cartesian
0.000 0.000 0.000
2.259 2.439 1.069
1.350 0.000 3.244
2.259 -2.439 1.069
6.697 2.439 3.198
7.606 0.000 1.023
6.697 -2.439 3.198
4.478 4.587 2.133
5.487 2.343 0.000
4.478 0.000 2.133
5.487 -2.343 0.000
4.478 -4.587 2.133
```

Calculated PXRD pattern
Compound: Tb5In4Sn
Radiation: CuKα
Structure: DFT lattice parameters and positions (PBE)

Top 12 peaks for 2θ = 5–70°, low angle first:
| d_spacing | intensity |
| --- | --- |
| 3.876 | 1 |
| 3.727 | 2 |
| 2.687 | 100 |
| 2.636 | 48 |
| 2.179 | 1 |
| 1.938 | 10 |
| 1.864 | 17 |
| 1.719 | 1 |
| 1.680 | 1 |
| 1.667 | 1 |
| 1.561 | 19 |
| 1.531 | 36 |

Structural model:
```
Tb5In4Sn
1.0
3.727 0.000 0.000
0.000 3.727 0.000
0.000 0.000 19.378
Tb In Sn
5 4 1
Cartesian
0.000 0.000 0.000
0.000 0.000 3.849
0.000 0.000 7.752
0.000 0.000 11.627
0.000 0.000 15.530
1.864 1.864 1.913
1.864 1.864 5.757
1.864 1.864 13.621
1.864 1.864 17.465
1.864 1.864 9.689
```